Entry 1:
For MgV3FeO8, a DFT-relaxed cell (GGA+U, the Materials Project) gives the simulated powder diffraction line list in this record (CuKα).
Peak positions follow from Bragg's law for the DFT cell and can differ from measured ones.

Largest 10 diffraction maxima, low angle first, 2θ = 10–80°:
d (Å)  2θ (°)  I/Imax
4.442  20.0  50
4.280  20.8  32
4.245  20.9  100
3.005  29.7  17
2.904  30.8  18
2.797  32.0  28
2.679  33.4  35
2.590  34.6  15
2.529  35.5  18
1.739  52.6  14

Cell and atoms:
```
MgV3FeO8
1.0
5.366 0.000 0.000
0.279 5.597 0.000
0.025 0.266 6.956
Mg V Fe O
1 3 1 8
direct
0.000 0.000 0.000 Mg
0.005 0.009 0.511 V
0.508 0.856 0.262 V
0.963 0.496 0.744 V
0.475 0.366 0.009 Fe
0.043 0.825 0.754 O
0.060 0.329 0.534 O
0.124 0.320 0.941 O
0.171 0.918 0.262 O
0.578 0.564 0.222 O
0.638 0.028 0.072 O
0.644 0.484 0.775 O
0.655 0.937 0.467 O
```


Entry 2:
For Mg6VFeO8, a DFT-relaxed cell (GGA+U, the Materials Project) gives the simulated powder diffraction line list in this record (CuKα).
Peak positions follow from Bragg's law for the DFT cell and can differ from measured ones.

Largest 10 diffraction maxima, low angle first, 2θ = 10–80°:
d (Å)  2θ (°)  I/Imax
8.605  10.3  32
4.302  20.6  8
2.863  31.2  14
2.479  36.2  35
2.151  42.0  50
2.145  42.1  100
1.519  61.0  57
1.517  61.1  28
1.294  73.2  12
1.240  76.9  26

Cell and atoms:
```
Mg6VFeO8
1.0
4.290 0.000 0.000
0.000 4.290 0.000
0.000 0.000 8.605
Mg V Fe O
6 1 1 8
direct
0.000 0.000 0.000 Mg
0.000 0.500 0.248 Mg
0.000 0.500 0.752 Mg
0.500 0.000 0.248 Mg
0.500 0.000 0.752 Mg
0.500 0.500 0.000 Mg
0.000 0.000 0.500 V
0.500 0.500 0.500 Fe
0.000 0.000 0.245 O
0.000 0.000 0.755 O
0.000 0.500 0.000 O
0.000 0.500 0.500 O
0.500 0.000 0.000 O
0.500 0.000 0.500 O
0.500 0.500 0.246 O
0.500 0.500 0.754 O
```


Entry 3:
For MgV3FeO8, a DFT-relaxed cell (GGA+U, the Materials Project) gives the simulated powder diffraction line list in this record (CuKα).
Peak positions follow from Bragg's law for the DFT cell and can differ from measured ones.

Largest 10 diffraction maxima, low angle first, 2θ = 10–80°:
d (Å)  2θ (°)  I/Imax
4.423  20.1  100
4.300  20.7  87
4.251  20.9  46
4.178  21.3  90
3.382  26.3  29
3.333  26.8  33
2.937  30.4  30
2.839  31.5  81
2.737  32.7  69
2.518  35.7  29

Cell and atoms:
```
MgV3FeO8
1.0
5.482 0.000 0.000
0.266 5.691 0.000
0.210 0.269 6.694
Mg V Fe O
1 3 1 8
direct
0.000 0.000 0.000 Mg
0.010 0.498 0.265 V
0.028 0.997 0.499 V
0.513 0.675 0.991 V
0.518 0.175 0.712 Fe
0.330 0.073 0.496 O
0.344 0.541 0.183 O
0.364 0.953 0.941 O
0.492 0.509 0.790 O
0.832 0.693 0.058 O
0.873 0.094 0.735 O
0.933 0.171 0.257 O
0.955 0.691 0.480 O
```


Entry 4:
For MgV5FeO12, a DFT-relaxed cell (GGA+U, the Materials Project) gives the simulated powder diffraction line list in this record (CuKα).
Peak positions follow from Bragg's law for the DFT cell and can differ from measured ones.

Largest 10 diffraction maxima, low angle first, 2θ = 10–80°:
d (Å)  2θ (°)  I/Imax
6.464  13.7  38
4.494  19.8  27
3.243  27.5  85
3.217  27.7  100
3.174  28.1  55
3.045  29.3  36
2.612  34.3  74
2.246  40.2  19
1.796  50.9  27
1.772  51.6  18

Cell and atoms:
```
MgV5FeO12
1.0
5.702 0.000 0.000
2.317 6.497 0.000
1.999 0.693 6.888
Mg V Fe O
1 5 1 12
direct
0.000 0.000 0.000 Mg
0.020 0.441 0.116 V
0.055 0.885 0.502 V
0.498 0.104 0.327 V
0.503 0.632 0.922 V
0.541 0.169 0.802 V
0.045 0.347 0.631 Fe
0.032 0.650 0.602 O
0.124 0.317 0.324 O
0.142 0.255 0.932 O
0.165 0.665 0.023 O
0.376 0.866 0.403 O
0.436 0.225 0.559 O
0.489 0.881 0.837 O
0.619 0.139 0.053 O
0.634 0.455 0.751 O
0.681 0.555 0.104 O
0.892 0.973 0.311 O
0.937 0.053 0.699 O
```


Entry 5:
For MgV2Fe4O8, a DFT-relaxed cell (GGA+U, the Materials Project) gives the simulated powder diffraction line list in this record (CuKα).
Peak positions follow from Bragg's law for the DFT cell and can differ from measured ones.

Largest 10 diffraction maxima, low angle first, 2θ = 10–80°:
d (Å)  2θ (°)  I/Imax
5.198  17.1  28
3.227  27.6  33
2.714  33.0  100
2.638  34.0  94
2.511  35.8  32
2.222  40.6  25
1.726  53.1  28
1.694  54.2  37
1.613  57.1  26
1.532  60.4  20

Cell and atoms:
```
MgV2Fe4O8
1.0
5.427 -3.065 0.000
5.427 3.065 0.000
-3.808 0.000 5.210
Mg V Fe O
1 2 4 8
direct
0.000 0.000 0.000 Mg
0.727 0.727 0.989 V
0.728 0.728 0.471 V
0.255 0.816 0.535 Fe
0.308 0.308 0.320 Fe
0.409 0.409 0.915 Fe
0.816 0.255 0.535 Fe
0.451 0.916 0.187 O
0.497 0.497 0.295 O
0.498 0.498 0.713 O
0.551 0.978 0.766 O
0.916 0.451 0.187 O
0.952 0.952 0.247 O
0.953 0.953 0.659 O
0.978 0.551 0.766 O
```


Entry 6:
For MgV2Fe4O8, a DFT-relaxed cell (GGA+U, the Materials Project) gives the simulated powder diffraction line list in this record (CuKα).
Peak positions follow from Bragg's law for the DFT cell and can differ from measured ones.

Largest 10 diffraction maxima, low angle first, 2θ = 10–80°:
d (Å)  2θ (°)  I/Imax
5.320  16.7  29
3.315  26.9  100
3.055  29.2  62
2.606  34.4  68
2.594  34.6  27
2.591  34.6  26
2.005  45.2  27
1.993  45.5  26
1.659  55.4  34
1.656  55.5  35

Cell and atoms:
```
MgV2Fe4O8
1.0
6.092 -3.010 0.000
6.092 3.010 0.000
-2.906 0.000 5.210
Mg V Fe O
1 2 4 8
direct
0.000 0.000 0.000 Mg
0.166 0.166 0.888 V
0.168 0.168 0.436 V
0.096 0.579 0.830 Fe
0.495 0.495 0.488 Fe
0.579 0.096 0.830 Fe
0.752 0.752 0.248 Fe
0.354 0.924 0.136 O
0.371 0.371 0.112 O
0.371 0.371 0.615 O
0.374 0.870 0.615 O
0.869 0.869 0.093 O
0.870 0.374 0.615 O
0.874 0.874 0.640 O
0.924 0.354 0.136 O
```


Entry 7:
For MgV3FeO8, a DFT-relaxed cell (GGA+U, the Materials Project) gives the simulated powder diffraction line list in this record (CuKα).
Peak positions follow from Bragg's law for the DFT cell and can differ from measured ones.

Largest 10 diffraction maxima, low angle first, 2θ = 10–80°:
d (Å)  2θ (°)  I/Imax
6.523  13.6  47
5.925  15.0  81
3.724  23.9  100
3.261  27.4  44
3.121  28.6  36
3.025  29.5  41
2.566  35.0  27
2.174  41.5  57
2.051  44.2  44
1.962  46.3  55

Cell and atoms:
```
MgV3FeO8
1.0
6.157 -1.962 0.000
6.157 1.962 0.000
-1.843 0.000 6.523
Mg V Fe O
1 3 1 8
direct
0.000 0.000 0.000 Mg
0.222 0.222 0.291 V
0.420 0.420 0.678 V
0.532 0.532 0.326 V
0.130 0.130 0.711 Fe
0.051 0.051 0.308 O
0.167 0.167 0.992 O
0.269 0.269 0.618 O
0.390 0.390 0.354 O
0.464 0.464 0.980 O
0.583 0.583 0.633 O
0.686 0.686 0.309 O
0.956 0.956 0.696 O
```


Entry 8:
For Mg6VFeO8, a DFT-relaxed cell (GGA+U, the Materials Project) gives the simulated powder diffraction line list in this record (CuKα).
Peak positions follow from Bragg's law for the DFT cell and can differ from measured ones.

Largest 10 diffraction maxima, low angle first, 2θ = 10–80°:
d (Å)  2θ (°)  I/Imax
4.321  20.6  15
4.271  20.8  7
3.037  29.4  12
2.485  36.1  35
2.161  41.8  100
2.135  42.3  48
1.528  60.6  28
1.519  61.0  55
1.301  72.6  12
1.242  76.7  25

Cell and atoms:
```
Mg6VFeO8
1.0
4.321 0.000 0.000
0.000 4.321 0.000
0.000 0.000 8.541
Mg V Fe O
6 1 1 8
direct
0.000 0.000 0.000 Mg
0.000 0.000 0.500 Mg
0.000 0.500 0.249 Mg
0.000 0.500 0.751 Mg
0.500 0.000 0.249 Mg
0.500 0.000 0.751 Mg
0.500 0.500 0.500 V
0.500 0.500 0.000 Fe
0.000 0.000 0.251 O
0.000 0.000 0.749 O
0.000 0.500 0.000 O
0.000 0.500 0.500 O
0.500 0.000 0.000 O
0.500 0.000 0.500 O
0.500 0.500 0.247 O
0.500 0.500 0.753 O
```


Entry 9:
For MgV4Fe2O12, a DFT-relaxed cell (GGA+U, the Materials Project) gives the simulated powder diffraction line list in this record (CuKα).
Peak positions follow from Bragg's law for the DFT cell and can differ from measured ones.

Largest 10 diffraction maxima, low angle first, 2θ = 10–80°:
d (Å)  2θ (°)  I/Imax
6.656  13.3  27
4.505  19.7  17
3.694  24.1  16
3.236  27.6  100
3.091  28.9  50
2.653  33.8  45
2.531  35.5  18
2.027  44.7  17
1.771  51.6  21
1.749  52.3  21

Cell and atoms:
```
MgV4Fe2O12
1.0
5.379 -4.505 0.000
5.379 4.505 0.000
-2.297 0.000 5.305
Mg V Fe O
1 4 2 12
direct
0.000 0.000 0.000 Mg
0.125 0.454 0.034 V
0.347 0.066 0.459 V
0.546 0.875 0.966 V
0.934 0.653 0.541 V
0.643 0.357 0.000 Fe
0.812 0.188 0.500 Fe
0.048 0.670 0.872 O
0.096 0.154 0.420 O
0.106 0.594 0.361 O
0.330 0.952 0.128 O
0.358 0.354 0.009 O
0.406 0.894 0.639 O
0.525 0.238 0.584 O
0.646 0.642 0.991 O
0.726 0.063 0.090 O
0.762 0.475 0.416 O
0.846 0.904 0.580 O
0.937 0.274 0.910 O
```


Entry 10:
For MgV2Fe4O8, a DFT-relaxed cell (GGA+U, the Materials Project) gives the simulated powder diffraction line list in this record (CuKα).
Peak positions follow from Bragg's law for the DFT cell and can differ from measured ones.

Largest 10 diffraction maxima, low angle first, 2θ = 10–80°:
d (Å)  2θ (°)  I/Imax
2.685  33.4  100
2.653  33.8  51
2.605  34.4  47
2.584  34.7  84
2.505  35.8  68
2.244  40.2  44
2.216  40.7  49
2.080  43.5  73
1.657  55.5  41
1.507  61.5  41

Cell and atoms:
```
MgV2Fe4O8
1.0
5.950 0.000 0.000
-2.926 5.218 0.000
-2.518 -1.884 5.369
Mg V Fe O
1 2 4 8
direct
0.000 0.000 0.000 Mg
0.500 0.000 0.000 V
0.500 0.500 0.000 V
0.000 0.500 0.000 Fe
0.000 0.500 0.500 Fe
0.275 0.173 0.469 Fe
0.725 0.827 0.531 Fe
0.022 0.752 0.764 O
0.044 0.252 0.772 O
0.446 0.741 0.190 O
0.469 0.244 0.222 O
0.531 0.756 0.778 O
0.554 0.259 0.810 O
0.956 0.748 0.228 O
0.978 0.248 0.236 O
```


Entry 11:
For MgV3FeO8, a DFT-relaxed cell (GGA+U, the Materials Project) gives the simulated powder diffraction line list in this record (CuKα).
Peak positions follow from Bragg's law for the DFT cell and can differ from measured ones.

Largest 10 diffraction maxima, low angle first, 2θ = 10–80°:
d (Å)  2θ (°)  I/Imax
6.805  13.0  74
5.982  14.8  86
3.631  24.5  100
3.404  26.2  60
3.089  28.9  93
2.385  37.7  27
2.268  39.7  63
2.082  43.5  55
1.905  47.7  56
1.615  57.0  26

Cell and atoms:
```
MgV3FeO8
1.0
6.246 -1.905 0.000
6.246 1.905 0.000
-2.044 0.000 6.805
Mg V Fe O
1 3 1 8
direct
0.000 0.000 0.000 Mg
0.142 0.142 0.739 V
0.229 0.229 0.327 V
0.435 0.435 0.670 V
0.538 0.538 0.338 Fe
0.060 0.060 0.288 O
0.178 0.178 0.989 O
0.260 0.260 0.609 O
0.388 0.388 0.396 O
0.455 0.455 0.943 O
0.600 0.600 0.663 O
0.713 0.713 0.298 O
0.975 0.975 0.700 O
```


Entry 12:
For MgV5FeO12, a DFT-relaxed cell (GGA+U, the Materials Project) gives the simulated powder diffraction line list in this record (CuKα).
Peak positions follow from Bragg's law for the DFT cell and can differ from measured ones.

Largest 10 diffraction maxima, low angle first, 2θ = 10–80°:
d (Å)  2θ (°)  I/Imax
6.520  13.6  51
4.746  18.7  33
4.418  20.1  37
3.192  28.0  100
3.178  28.1  80
3.104  28.8  75
3.064  29.1  29
2.672  33.5  76
2.500  35.9  30
1.736  52.7  34

Cell and atoms:
```
MgV5FeO12
1.0
5.776 0.000 0.000
2.109 6.560 0.000
1.926 0.739 6.649
Mg V Fe O
1 5 1 12
direct
0.000 0.000 0.000 Mg
0.001 0.547 0.851 V
0.052 0.618 0.331 V
0.053 0.085 0.465 V
0.541 0.337 0.039 V
0.559 0.879 0.652 V
0.541 0.786 0.173 Fe
0.018 0.348 0.356 O
0.094 0.632 0.602 O
0.151 0.907 0.246 O
0.228 0.991 0.698 O
0.331 0.384 0.893 O
0.433 0.505 0.224 O
0.596 0.082 0.140 O
0.621 0.708 0.865 O
0.669 0.746 0.441 O
0.723 0.058 0.620 O
0.872 0.312 0.919 O
0.949 0.709 0.056 O
```